Record 1
Starting from a PBE-relaxed structure, the X-ray powder pattern of Pr2ScTe4 was computed for a wavelength of 1.5418 Å.
Lines closer than 0.1° are merged.

Structural model:
a b c (Å): 7.661 7.550 8.627
angles (deg): 90.00 106.16 90.00
Space group P2_1/m (No. 11)
One atom of each set of equivalent atoms:
Pr1 0.208 0.250 0.051 [2 per cell]
Pr2 0.218 0.250 0.556 [2 per cell]
Sc1 0.266 0.750 0.317 [2 per cell]
Te1 0.012 0.509 0.751 [4 per cell]
Te2 0.464 0.750 0.103 [2 per cell]
Te3 0.468 0.750 0.631 [2 per cell]

Largest 12 diffraction maxima, by intensity, 2θ from 10° to 90°:
- hkl 1 2 -2, 2.789 Å, I 100.0
- hkl 1 1 2, 2.981 Å, I 74.7
- hkl 2 1 -2, 2.973 Å, I 73.9
- hkl 1 2 0, 3.359 Å, I 69.5
- hkl 2 0 -2, 3.239 Å, I 57.0
- hkl 1 3 2, 1.987 Å, I 45.0
- hkl 1 0 -4, 2.157 Å, I 36.5
- hkl 3 2 0, 2.057 Å, I 35.4
- hkl 1 1 0, 5.269 Å, I 34.4
- hkl 0 4 0, 1.887 Å, I 32.1
- hkl 0 2 0, 3.775 Å, I 28.0
- hkl 0 2 4, 1.815 Å, I 22.1

Record 2
Starting from a PBE-relaxed structure, the X-ray powder pattern of Pr5ScTe6 was computed for a wavelength of 1.5418 Å.
Lines closer than 0.1° are merged.

Structural model:
a b c (Å): 7.741 13.422 7.751
angles (deg): 90.00 109.39 90.00
Space group C2/m (No. 12)
One atom of each set of equivalent atoms:
Pr1 0.000 0.000 0.000 [2 per cell]
Pr2 0.000 0.165 0.500 [4 per cell]
Pr3 0.000 0.319 0.000 [4 per cell]
Sc1 0.000 0.500 0.500 [2 per cell]
Te1 0.230 0.500 0.251 [4 per cell]
Te2 0.234 0.343 0.736 [8 per cell]

Largest 12 diffraction maxima, by intensity, 2θ from 10° to 90°:
- hkl 2 0 -2, 3.163 Å, I 100.0
- hkl 1 3 -3, 2.237 Å, I 74.0
- hkl 3 3 -5, 1.415 Å, I 25.8
- hkl 0 0 4, 1.826 Å, I 25.7
- hkl 2 0 -6, 1.292 Å, I 16.5
- hkl 4 0 -4, 1.582 Å, I 11.7
- hkl 4 6 -4, 1.291 Å, I 5.7
- hkl 5 3 -3, 1.413 Å, I 5.4
- hkl 2 6 -6, 1.119 Å, I 4.6
- hkl 6 6 -2, 1.118 Å, I 2.2
- hkl 0 2 2, 3.209 Å, I 2.2
- hkl 1 5 -1, 2.471 Å, I 1.7

Record 3
Starting from a PBE-relaxed structure, the X-ray powder pattern of Pr2ScTl3 was computed for a wavelength of 1.5418 Å.
Lines closer than 0.1° are merged.

Structural model:
a b c (Å): 3.765 3.765 11.842
angles (deg): 90.00 90.00 90.00
Space group P4/mmm (No. 123)
One atom of each set of equivalent atoms:
Pr1 0.000 0.000 0.178 [2 per cell]
Sc1 0.000 0.000 0.500 [1 per cell]
Tl1 0.500 0.500 0.000 [1 per cell]
Tl2 0.500 0.500 0.358 [2 per cell]

Largest 12 diffraction maxima, by intensity, 2θ from 10° to 90°:
- hkl 1 0 3, 2.724 Å, I 100.0
- hkl 1 1 0, 2.662 Å, I 52.2
- hkl 2 1 3, 1.549 Å, I 36.5
- hkl 2 0 0, 1.882 Å, I 19.0
- hkl 1 1 6, 1.585 Å, I 14.1
- hkl 1 0 2, 3.177 Å, I 11.6
- hkl 1 0 0, 3.765 Å, I 10.4
- hkl 3 1 0, 1.191 Å, I 8.6
- hkl 2 0 6, 1.362 Å, I 8.5
- hkl 1 1 5, 1.769 Å, I 8.2
- hkl 3 0 3, 1.196 Å, I 7.8
- hkl 2 1 8, 1.112 Å, I 7.6

Record 4
Starting from a PBE-relaxed structure, the X-ray powder pattern of PrScTl was computed for a wavelength of 1.5418 Å.
Lines closer than 0.1° are merged.

Structural model:
a b c (Å): 8.275 4.808 8.641
angles (deg): 90.00 90.00 90.00
Space group Pnma (No. 62)
One atom of each set of equivalent atoms:
Pr1 0.013 0.250 0.170 [4 per cell]
Sc1 0.143 0.250 0.567 [4 per cell]
Tl1 0.214 0.750 0.382 [4 per cell]

Largest 12 diffraction maxima, by intensity, 2θ from 10° to 90°:
- hkl 2 1 1, 2.948 Å, I 100.0
- hkl 1 1 2, 2.995 Å, I 66.6
- hkl 1 1 1, 3.745 Å, I 44.7
- hkl 1 0 2, 3.830 Å, I 38.3
- hkl 0 2 0, 2.404 Å, I 34.6
- hkl 3 0 1, 2.628 Å, I 23.1
- hkl 0 1 3, 2.471 Å, I 21.8
- hkl 1 1 3, 2.368 Å, I 18.1
- hkl 5 1 2, 1.471 Å, I 16.6
- hkl 3 0 2, 2.325 Å, I 16.3
- hkl 1 2 2, 2.036 Å, I 14.6
- hkl 3 2 1, 1.774 Å, I 14.2

Record 5
Starting from a PBE-relaxed structure, the X-ray powder pattern of Pr5Sc2Tl4 was computed for a wavelength of 1.5418 Å.
Lines closer than 0.1° are merged.

Structural model:
a b c (Å): 3.740 8.724 21.382
angles (deg): 90.00 90.00 90.00
Space group Immm (No. 71)
One atom of each set of equivalent atoms:
Pr1 0.000 0.000 0.000 [2 per cell]
Pr2 0.000 0.292 0.347 [8 per cell]
Sc1 0.000 0.500 0.082 [4 per cell]
Tl1 0.000 0.198 0.500 [4 per cell]
Tl2 0.000 0.500 0.218 [4 per cell]

Largest 12 diffraction maxima, by intensity, 2θ from 10° to 90°:
- hkl 1 0 7, 2.366 Å, I 100.0
- hkl 1 2 1, 2.814 Å, I 95.6
- hkl 1 1 2, 3.272 Å, I 73.1
- hkl 0 3 3, 2.692 Å, I 62.8
- hkl 1 3 4, 2.109 Å, I 42.5
- hkl 0 2 6, 2.760 Å, I 40.0
- hkl 1 5 2, 1.564 Å, I 36.1
- hkl 0 0 6, 3.564 Å, I 35.2
- hkl 0 1 7, 2.884 Å, I 27.3
- hkl 2 0 0, 1.870 Å, I 23.3
- hkl 2 3 3, 1.536 Å, I 23.1
- hkl 1 2 13, 1.423 Å, I 22.9

Record 6
Starting from a PBE-relaxed structure, the X-ray powder pattern of Pr2YScTl2 was computed for a wavelength of 1.5418 Å.
Lines closer than 0.1° are merged.

Structural model:
a b c (Å): 5.007 10.054 7.025
angles (deg): 90.00 90.00 90.00
Space group Pmc2_1 (No. 26)
One atom of each set of equivalent atoms:
Pr1 0.000 0.050 0.000 [2 per cell]
Pr2 0.500 0.188 0.274 [2 per cell]
Y1 0.500 0.454 0.896 [2 per cell]
Sc1 0.000 0.311 0.602 [2 per cell]
Tl1 0.000 0.391 0.170 [2 per cell]
Tl2 0.500 0.152 0.733 [2 per cell]

Largest 12 diffraction maxima, by intensity, 2θ from 10° to 90°:
- hkl 1 1 2, 2.765 Å, I 100.0
- hkl 1 3 0, 2.785 Å, I 84.7
- hkl 1 0 2, 2.876 Å, I 74.1
- hkl 2 0 0, 2.503 Å, I 58.7
- hkl 1 3 1, 2.589 Å, I 47.6
- hkl 0 2 1, 4.088 Å, I 28.8
- hkl 2 2 3, 1.620 Å, I 26.7
- hkl 1 1 1, 3.778 Å, I 25.5
- hkl 0 3 2, 2.425 Å, I 23.8
- hkl 0 3 1, 3.025 Å, I 21.8
- hkl 0 2 3, 2.123 Å, I 20.0
- hkl 1 2 0, 3.547 Å, I 19.4

Record 7
Starting from a PBE-relaxed structure, the X-ray powder pattern of PrTm9Sc2 was computed for a wavelength of 1.5418 Å.
Lines closer than 0.1° are merged.

Structural model:
a b c (Å): 10.9433 10.9433 3.4465
angles (deg): 90.00 90.00 120.00
Space group P6/mmm (No. 191)
One atom of each set of equivalent atoms:
Pr1 0.0000 0.0000 0.0000 [1 per cell]
Tm1 0.0000 0.5000 0.0000 [3 per cell]
Tm2 0.1813 0.3627 0.5000 [6 per cell]
Sc1 0.3333 0.6667 0.0000 [2 per cell]

Largest 12 diffraction maxima, by intensity, 2θ from 10° to 90°:
- hkl 2 2 0, 2.736 Å, I 100.0
- hkl 2 0 1, 2.787 Å, I 92.4
- hkl 4 2 1, 1.589 Å, I 29.9
- hkl 4 0 1, 1.952 Å, I 29.5
- hkl 2 2 2, 1.458 Å, I 29.2
- hkl 2 1 1, 2.484 Å, I 21.9
- hkl 6 0 0, 1.580 Å, I 15.0
- hkl 2 1 0, 3.582 Å, I 13.1
- hkl 1 1 1, 2.916 Å, I 12.4
- hkl 1 1 0, 5.472 Å, I 11.7
- hkl 6 0 2, 1.164 Å, I 11.2
- hkl 5 0 1, 1.661 Å, I 9.7

Record 8
Starting from a PBE-relaxed structure, the X-ray powder pattern of Pr2Tm6Sc5 was computed for a wavelength of 1.5418 Å.
Lines closer than 0.1° are merged.

Structural model:
a b c (Å): 11.366 19.386 3.458
angles (deg): 90.00 90.00 90.00
Space group Pbam (No. 55)
One atom of each set of equivalent atoms:
Pr1 0.153 0.219 0.000 [4 per cell]
Tm1 0.056 0.921 0.000 [4 per cell]
Tm2 0.087 0.634 0.000 [4 per cell]
Tm3 0.177 0.381 0.500 [4 per cell]
Sc1 0.000 0.500 0.500 [2 per cell]
Sc2 0.107 0.779 0.500 [4 per cell]
Sc3 0.199 0.048 0.500 [4 per cell]

Largest 12 diffraction maxima, by intensity, 2θ from 10° to 90°:
- hkl 2 3 1, 2.688 Å, I 100.0
- hkl 4 1 0, 2.811 Å, I 29.6
- hkl 1 2 1, 3.131 Å, I 22.0
- hkl 3 5 0, 2.710 Å, I 20.7
- hkl 2 4 1, 2.522 Å, I 20.5
- hkl 4 2 0, 2.730 Å, I 17.5
- hkl 0 4 0, 4.846 Å, I 16.2
- hkl 2 0 1, 2.953 Å, I 15.5
- hkl 4 3 0, 2.601 Å, I 13.7
- hkl 1 10 1, 1.673 Å, I 11.7
- hkl 0 0 2, 1.729 Å, I 11.7
- hkl 6 4 1, 1.572 Å, I 11.3